[1]
# CePu2B6
Calculated X-ray powder pattern, a wavelength of 1.5418 Å. Input: the PBE geometry in Alexandria.
Kinematic intensities with the Lorentz-polarization factor, no thermal factor.

Top 12 peaks for 2θ from 5° to 70°, in order of rising 2θ:
d_spacing	Rel. int.
5.832	49
3.990	100
3.039	60
3.012	34
2.682	63
2.418	82
1.995	21
1.944	27
1.742	49
1.669	31
1.482	28
1.390	17

Structural model:
a = 6.067 Å, b = 6.067 Å, c = 6.067 Å
α = 148.91°, β = 97.75°, γ = 90.50°
Fractional coordinates of all 9 atoms:
Ce: 0.000 0.000 0.000
Pu: 0.367 0.867 0.500
Pu: 0.633 0.133 0.500
B: 0.054 0.305 0.750
B: 0.296 0.500 0.796
B: 0.445 0.695 0.750
B: 0.555 0.305 0.250
B: 0.704 0.500 0.204
B: 0.946 0.695 0.250



[2]
# RbCeBS4
Calculated X-ray powder pattern, a wavelength of 1.5418 Å. Input: the PBE geometry in Alexandria.
Kinematic intensities with the Lorentz-polarization factor, no thermal factor.

Top 12 peaks for 2θ from 5° to 70°, in order of rising 2θ:
d_spacing	Rel. int.
8.646	83
4.272	100
3.579	28
3.498	45
3.190	46
3.011	38
2.870	47
2.723	45
2.567	46
2.536	41
2.136	66
1.835	29

Structural model:
a = 6.092 Å, b = 6.381 Å, c = 9.159 Å
α = 90.00°, β = 109.27°, γ = 90.00°
Fractional coordinates of all 14 atoms:
Rb: 0.222 0.250 0.435
Rb: 0.778 0.750 0.565
Ce: 0.260 0.250 0.949
Ce: 0.740 0.750 0.051
B: 0.299 0.750 0.169
B: 0.701 0.250 0.831
S: 0.115 0.750 0.950
S: 0.119 0.750 0.307
S: 0.499 0.007 0.793
S: 0.499 0.493 0.793
S: 0.501 0.507 0.207
S: 0.501 0.993 0.207
S: 0.881 0.250 0.693
S: 0.885 0.250 0.050



[3]
# Ce2Re3B6
Calculated X-ray powder pattern, a wavelength of 1.5418 Å. Input: the PBE geometry in Alexandria.
Kinematic intensities with the Lorentz-polarization factor, no thermal factor.

Top 12 peaks for 2θ from 5° to 70°, in order of rising 2θ:
d_spacing	Rel. int.
3.119	83
2.861	19
2.688	100
2.646	19
2.496	53
2.396	18
2.309	36
2.116	28
1.965	16
1.948	27
1.842	19
1.447	17

Structural model:
a = 6.291 Å, b = 6.291 Å, c = 7.519 Å
α = 90.58°, β = 90.58°, γ = 114.55°
Fractional coordinates of all 22 atoms:
Ce: 0.053 0.403 0.169
Ce: 0.403 0.053 0.669
Ce: 0.597 0.947 0.331
Ce: 0.947 0.597 0.831
Re: 0.090 0.910 0.250
Re: 0.307 0.490 0.587
Re: 0.490 0.307 0.087
Re: 0.510 0.693 0.913
Re: 0.693 0.510 0.413
Re: 0.910 0.090 0.750
B: 0.055 0.150 0.464
B: 0.085 0.659 0.482
B: 0.150 0.055 0.964
B: 0.253 0.344 0.865
B: 0.341 0.915 0.018
B: 0.344 0.253 0.365
B: 0.656 0.747 0.635
B: 0.659 0.085 0.982
B: 0.747 0.656 0.135
B: 0.850 0.945 0.036
B: 0.915 0.341 0.518
B: 0.945 0.850 0.536